1.
TmMg3: simulated XRD peak list (Cu Kα X-rays), based on a structure optimized by DFT (GGA-PBE).
No peak broadening, texture or thermal motion is included.

Structure:
Cell: 7.2867 7.2867 7.2867 Å, 90.00 90.00 90.00°
Space group Fm-3m (No. 225)
Unique sites:
Tm (0.0000, 0.0000, 0.0000) x4
Mg (0.0000, 0.0000, 0.5000) x4
Mg (0.2500, 0.2500, 0.2500) x8

Most intense lines, 2θ from 10° to 90°, in order of rising 2θ:
| two_theta | Rel. int. | h k l |
| --- | --- | --- |
| 21.12 | 78 | 1 1 1 |
| 24.43 | 41 | 2 0 0 |
| 34.82 | 100 | 2 2 0 |
| 41.08 | 43 | 3 1 1 |
| 50.07 | 18 | 4 0 0 |
| 54.92 | 19 | 3 3 1 |
| 56.48 | 17 | 4 2 0 |
| 62.44 | 36 | 4 2 2 |
| 66.70 | 14 | 5 1 1 |
| 84.00 | 16 | 6 2 0 |

---

2.
CdGa4As4Se: simulated XRD peak list (Cu Kα X-rays), based on a structure optimized by DFT (GGA-PBE).
No peak broadening, texture or thermal motion is included.

Structure:
Cell: 4.1129 4.1129 50.9425 Å, 90.00 90.00 120.00°
Space group R3m (No. 160, hexagonal axes)
Unique sites:
Cd (0.0000, 0.0000, 0.0000) x3
Ga (0.0000, 0.0000, 0.1969) x3
Ga (0.0000, 0.0000, 0.4002) x3
Ga (0.0000, 0.0000, 0.5948) x3
Ga (0.0000, 0.0000, 0.7985) x3
As (0.0000, 0.0000, 0.0513) x3
As (0.0000, 0.0000, 0.2461) x3
As (0.0000, 0.0000, 0.4494) x3
As (0.0000, 0.0000, 0.8477) x3
Se (0.0000, 0.0000, 0.6431) x3

Most intense lines, 2θ from 10° to 90°, in order of rising 2θ:
| two_theta | Rel. int. | h k l |
| --- | --- | --- |
| 26.24 | 29 | 0 0 15 |
| 26.51 | 100 | 0 1 5 |
| 43.69 | 45 | 0 1 20 |
| 44.03 | 49 | 1 1 0 |
| 51.68 | 15 | 1 0 25 |
| 51.98 | 26 | 1 1 15 |
| 52.14 | 15 | 2 0 5 |
| 63.77 | 14 | 2 0 20 |
| 70.57 | 12 | 1 2 5 |
| 80.74 | 14 | 1 2 20 |

---

3.
EuPS3: simulated XRD peak list (Cu Kα X-rays), based on a structure optimized by DFT (GGA-PBE).
No peak broadening, texture or thermal motion is included.

Structure:
Cell: 6.6912 7.5680 11.3475 Å, 90.00 124.26 90.00°
Space group P2_1/c (No. 14)
Unique sites:
Eu (0.2112, 0.1173, 0.2496) x4
P (0.1291, 0.6047, 0.0650) x4
S (0.0887, 0.2010, 0.9406) x4
S (0.2781, 0.6868, 0.9593) x4
S (0.3669, 0.0007, 0.7604) x4

Most intense lines, 2θ from 10° to 90°, in order of rising 2θ:
| two_theta | Rel. int. | h k l |
| --- | --- | --- |
| 17.70 | 48 | 1 1 -1 |
| 18.92 | 50 | 0 0 2 |
| 19.88 | 39 | 1 1 0 |
| 20.29 | 64 | 1 1 -2 |
| 25.38 | 100 | 0 2 1 |
| 26.34 | 35 | 1 1 -3 |
| 33.42 | 84 | 1 1 2 |
| 34.17 | 35 | 1 1 -4 |
| 36.91 | 48 | 2 2 -1 |
| 37.33 | 68 | 0 2 3 |